Starting from a cell relaxed with GGA+U, the powder diffractogram of Na5NiCO5 was simulated for Cu Kα (λ = 1.5418 Å).

Structural model:
```
data_Na5NiCO5
_chemical_formula_sum 'Na5 Ni1 C1 O5'
_space_group_name_H-M_alt 'P 1'
_space_group_IT_number 1
_space_group_name_Hall 'P 1'
_cell_length_a 4.4664
_cell_length_b 8.4998
_cell_length_c 4.8786
_cell_angle_alpha 90.00
_cell_angle_beta 90.00
_cell_angle_gamma 90.00
loop_
_atom_site_label
_atom_site_type_symbol
_atom_site_fract_x
_atom_site_fract_y
_atom_site_fract_z
Na1 Na 0.0000 0.0000 0.0000
Na2 Na 0.0000 0.2792 0.4651
Na3 Na 0.0000 0.7208 0.4651
Na4 Na 0.5000 0.2524 0.9730
Na5 Na 0.5000 0.7476 0.9730
Ni1 Ni 0.0000 0.5000 0.9624
C1 C 0.5000 0.0000 0.5389
O1 O 0.0000 0.2889 0.9620
O2 O 0.0000 0.7111 0.9620
O3 O 0.5000 0.0000 0.8060
O4 O 0.5000 0.1340 0.4088
O5 O 0.5000 0.8660 0.4088
```

Most intense lines, 2θ = 10–80°, low angle first:
2θ (°), d/Å, Rel. int.
18.18, 4.879, 43
20.99, 4.231, 34
22.49, 3.954, 80
34.45, 2.604, 100
36.85, 2.439, 52
40.39, 2.233, 52
55.81, 1.647, 27
72.64, 1.302, 22